No. 1
This entry pairs a crystal structure of SmDyHf with its calculated PXRD pattern. Radiation: copper Kα. Structure: the GGA-PBE geometry in Alexandria.
Peak positions follow from Bragg's law for the DFT cell and can differ from measured ones.

Principal peaks in the range 2θ = 10–90°, sorted by position:
2θ (°)  d [Å]  I/Imax
31.92  2.804  100
33.80  2.652  65
37.17  2.419  20
48.55  1.875  24
49.79  1.831  17
59.28  1.559  34

Atomic structure:
Unit cell a=3.7506 b=3.7506 c=12.6614 alpha=90.00 beta=90.00 gamma=90.00
Space group P4/nmm (No. 129, origin choice 2)
Unique sites:
Sm 0.2500 0.2500 0.0956
Dy 0.2500 0.2500 0.7039
Hf 0.2500 0.2500 0.4485

No. 2
This entry pairs a crystal structure of TbDy14Hf with its calculated PXRD pattern. Radiation: copper Kα. Structure: the GGA-PBE geometry in Alexandria.
Peak positions follow from Bragg's law for the DFT cell and can differ from measured ones.

Principal peaks in the range 2θ = 10–90°, sorted by position:
2θ (°)  d [Å]  I/Imax
31.19  2.868  100
36.17  2.484  50
52.07  1.756  36
61.92  1.499  28
62.03  1.496  14
85.14  1.140  17

Atomic structure:
Unit cell a=7.0300 b=7.0300 c=9.9209 alpha=90.00 beta=90.00 gamma=90.00
Space group P4/mmm (No. 123)
Unique sites:
Tb 0.0000 0.0000 0.0000
Dy 0.0000 0.0000 0.5000
Dy 0.0000 0.5000 0.0000
Dy 0.0000 0.5000 0.5000
Dy 0.2554 0.2554 0.2444
Dy 0.5000 0.5000 0.5000
Hf 0.5000 0.5000 0.0000

No. 3
This entry pairs a crystal structure of Dy2HfTe6 with its calculated PXRD pattern. Radiation: copper Kα. Structure: the GGA-PBE geometry in Alexandria.
Peak positions follow from Bragg's law for the DFT cell and can differ from measured ones.

Principal peaks in the range 2θ = 10–90°, sorted by position:
2θ (°)  d [Å]  I/Imax
17.61  5.036  95
27.17  3.282  99
28.01  3.185  30
34.98  2.565  100
35.66  2.518  55
43.48  2.081  67

Atomic structure:
Unit cell a=7.1222 b=7.1222 c=12.9818 alpha=90.00 beta=90.00 gamma=90.00
Space group P4_2/mnm (No. 136)
Unique sites:
Dy 0.0000 0.0000 0.1688
Hf 0.0000 0.0000 0.5000
Te 0.1996 0.1996 0.3440
Te 0.2133 0.2133 0.0000

No. 4
This entry pairs a crystal structure of DyHf2Th with its calculated PXRD pattern. Radiation: copper Kα. Structure: the GGA-PBE geometry in Alexandria.
Peak positions follow from Bragg's law for the DFT cell and can differ from measured ones.

Principal peaks in the range 2θ = 10–90°, sorted by position:
2θ (°)  d [Å]  I/Imax
32.56  2.750  100
33.10  2.707  32
37.94  2.372  66
54.38  1.687  24
55.09  1.667  23
65.15  1.432  28

Atomic structure:
Unit cell a=3.3744 b=3.3744 c=32.4789 alpha=90.00 beta=90.00 gamma=120.00
Space group R-3m (No. 166, hexagonal axes)
Unique sites:
Dy 0.0000 0.0000 0.0000
Hf 0.0000 0.0000 0.2489
Th 0.0000 0.0000 0.5000

What did the third record say?
This entry pairs a crystal structure of Dy2HfTe6 with its calculated PXRD pattern. Radiation: copper Kα. Structure: the GGA-PBE geometry in Alexandria.
Peak positions follow from Bragg's law for the DFT cell and can differ from measured ones.

Principal peaks in the range 2θ = 10–90°, sorted by position:
2θ (°)  d [Å]  I/Imax
17.61  5.036  95
27.17  3.282  99
28.01  3.185  30
34.98  2.565  100
35.66  2.518  55
43.48  2.081  67

Atomic structure:
Unit cell a=7.1222 b=7.1222 c=12.9818 alpha=90.00 beta=90.00 gamma=90.00
Space group P4_2/mnm (No. 136)
Unique sites:
Dy 0.0000 0.0000 0.1688
Hf 0.0000 0.0000 0.5000
Te 0.1996 0.1996 0.3440
Te 0.2133 0.2133 0.0000